Starting from a cell relaxed with PBE, the XRD peak list of Tb3GaCoS7 was simulated for Cu Kα (λ = 1.5418 Å).
Kinematic intensities with the Lorentz-polarization factor, no thermal factor.

Crystal structure
```
data_Tb3GaCoS7
_chemical_formula_sum 'Tb6 Ga2 Co2 S14'
_cell_length_a 9.5891
_cell_length_b 9.5891
_cell_length_c 6.1225
_cell_angle_alpha 90.00
_cell_angle_beta 90.00
_cell_angle_gamma 120.00
_symmetry_space_group_name_H-M 'P 63'
_symmetry_Int_Tables_number 173
_symmetry_space_group_name_Hall 'P 6c'
loop_
_atom_site_label
_atom_site_type_symbol
_atom_site_fract_x
_atom_site_fract_y
_atom_site_fract_z
Tb1 Tb 0.1537 0.3732 0.0000
Ga1 Ga 0.3333 0.6667 0.5727
Co1 Co 0.0000 0.0000 0.1722
S1 S 0.0862 0.5676 0.7294
S2 S 0.0947 0.2232 0.4147
S3 S 0.3333 0.6667 0.2054
```

The 10 most intense peaks (15° ≤ 2θ ≤ 90°), by intensity:
- (2 0 1), d = 3.436 Å, I = 100
- (2 2 0), d = 2.397 Å, I = 36
- (2 0 2), d = 2.464 Å, I = 33
- (3 0 1), d = 2.522 Å, I = 26
- (1 0 1), d = 4.928 Å, I = 23
- (2 0 3), d = 1.832 Å, I = 22
- (1 2 2), d = 2.192 Å, I = 20
- (1 2 0), d = 3.139 Å, I = 19
- (3 1 1), d = 2.156 Å, I = 17
- (1 4 1), d = 1.738 Å, I = 16


Starting from a cell relaxed with PBE, the XRD peak list of Eu2ZrO4 was simulated for Cu Kα (λ = 1.5418 Å).
Kinematic intensities with the Lorentz-polarization factor, no thermal factor.

Crystal structure
```
data_Eu2ZrO4
_chemical_formula_sum 'Eu4 Zr2 O8'
_cell_length_a 4.1679
_cell_length_b 4.1679
_cell_length_c 12.6127
_cell_angle_alpha 90.00
_cell_angle_beta 90.00
_cell_angle_gamma 90.00
_symmetry_space_group_name_H-M 'I 4/m m m'
_symmetry_Int_Tables_number 139
_symmetry_space_group_name_Hall '-I 4 2'
loop_
_atom_site_label
_atom_site_type_symbol
_atom_site_fract_x
_atom_site_fract_y
_atom_site_fract_z
Eu1 Eu 0.0000 0.0000 0.1471
Zr1 Zr 0.0000 0.0000 0.5000
O1 O 0.0000 0.0000 0.3312
O2 O 0.0000 0.5000 0.0000
```

The 10 most intense peaks (15° ≤ 2θ ≤ 90°), by intensity:
- (1 0 3), d = 2.960 Å, I = 100
- (1 1 0), d = 2.947 Å, I = 67
- (2 1 3), d = 1.704 Å, I = 40
- (2 0 0), d = 2.084 Å, I = 33
- (3 1 0), d = 1.319 Å, I = 20
- (1 1 6), d = 1.711 Å, I = 17
- (1 1 4), d = 2.153 Å, I = 16
- (2 0 6), d = 1.480 Å, I = 14
- (0 0 6), d = 2.102 Å, I = 12
- (3 2 3), d = 1.115 Å, I = 11


Starting from a cell relaxed with PBE, the XRD peak list of BaP2 was simulated for Cu Kα (λ = 1.5418 Å).
Kinematic intensities with the Lorentz-polarization factor, no thermal factor.

Crystal structure
```
data_BaP2
_chemical_formula_sum 'Ba6 P12'
_cell_length_a 6.4440
_cell_length_b 12.2764
_cell_length_c 7.7945
_cell_angle_alpha 90.00
_cell_angle_beta 126.71
_cell_angle_gamma 90.00
_symmetry_space_group_name_H-M 'P 1 21/c 1'
_symmetry_Int_Tables_number 14
_symmetry_space_group_name_Hall '-P 2ybc'
loop_
_atom_site_label
_atom_site_type_symbol
_atom_site_fract_x
_atom_site_fract_y
_atom_site_fract_z
Ba1 Ba 0.0000 0.0000 0.0000
Ba2 Ba 0.2721 0.1619 0.6679
P1 P 0.1795 0.7051 0.3471
P2 P 0.3206 0.6273 0.9675
P3 P 0.4325 0.6075 0.3037
```

The 10 most intense peaks (15° ≤ 2θ ≤ 90°), by intensity:
- (1 3 -1), d = 3.418 Å, I = 100
- (1 1 1), d = 3.061 Å, I = 35
- (0 1 2), d = 3.028 Å, I = 31
- (1 0 -2), d = 3.897 Å, I = 29
- (2 1 -1), d = 3.042 Å, I = 29
- (2 1 -2), d = 3.004 Å, I = 27
- (2 3 -3), d = 2.142 Å, I = 21
- (0 2 1), d = 4.374 Å, I = 20
- (1 4 -1), d = 2.752 Å, I = 18
- (2 2 -1), d = 2.795 Å, I = 17


Starting from a cell relaxed with PBE, the XRD peak list of Ag4Sn2Hg3Se9 was simulated for Cu Kα (λ = 1.5418 Å).
Kinematic intensities with the Lorentz-polarization factor, no thermal factor.

Crystal structure
```
data_Ag4Sn2Hg3Se9
_chemical_formula_sum 'Ag4 Sn2 Hg3 Se9'
_cell_length_a 7.5763
_cell_length_b 7.5882
_cell_length_c 10.6982
_cell_angle_alpha 90.10
_cell_angle_beta 90.58
_cell_angle_gamma 119.77
_symmetry_space_group_name_H-M 'P 1'
_symmetry_Int_Tables_number 1
_symmetry_space_group_name_Hall 'P 1'
loop_
_atom_site_label
_atom_site_type_symbol
_atom_site_fract_x
_atom_site_fract_y
_atom_site_fract_z
Ag1 Ag 0.0000 0.0000 0.0000
Ag2 Ag 0.0034 0.6651 0.3227
Ag3 Ag 0.0094 0.3336 0.6593
Ag4 Ag 0.3326 0.6682 0.0002
Sn1 Sn 0.3295 0.9958 0.6626
Sn2 Sn 0.6681 0.3361 0.0085
Hg1 Hg 0.3273 0.3464 0.3349
Hg2 Hg 0.6672 0.6905 0.6507
Hg3 Hg 0.6873 0.0099 0.3344
Se1 Se 0.0013 0.3461 0.4156
Se2 Se 0.0154 0.0074 0.7491
Se3 Se 0.3310 0.6758 0.7488
Se4 Se 0.3319 0.9986 0.4194
Se5 Se 0.3389 0.3350 0.0760
Se6 Se 0.6654 0.3275 0.7527
Se7 Se 0.6672 0.0068 0.0755
Se8 Se 0.6783 0.6678 0.4059
Se9 Se 0.9950 0.6626 0.0741
```

The 10 most intense peaks (15° ≤ 2θ ≤ 90°), by intensity:
- (1 -2 1), d = 3.577 Å, I = 100
- (0 0 3), d = 3.566 Å, I = 33
- (0 3 0), d = 2.195 Å, I = 32
- (3 0 0), d = 2.190 Å, I = 32
- (0 3 3), d = 1.862 Å, I = 16
- (2 2 -1), d = 1.877 Å, I = 16
- (1 1 4), d = 2.176 Å, I = 16
- (3 -3 0), d = 2.186 Å, I = 16
- (-3 3 3), d = 1.868 Å, I = 10
- (3 0 3), d = 1.858 Å, I = 10


Starting from a cell relaxed with PBE, the XRD peak list of Cs3Sr was simulated for Cu Kα (λ = 1.5418 Å).
Kinematic intensities with the Lorentz-polarization factor, no thermal factor.

Crystal structure
```
data_Cs3Sr
_chemical_formula_sum 'Cs6 Sr2'
_cell_length_a 10.3431
_cell_length_b 10.3431
_cell_length_c 8.2076
_cell_angle_alpha 90.00
_cell_angle_beta 90.00
_cell_angle_gamma 120.00
_symmetry_space_group_name_H-M 'P 63/m m c'
_symmetry_Int_Tables_number 194
_symmetry_space_group_name_Hall '-P 6c 2c'
loop_
_atom_site_label
_atom_site_type_symbol
_atom_site_fract_x
_atom_site_fract_y
_atom_site_fract_z
Cs1 Cs 0.1706 0.3412 0.2500
Sr1 Sr 0.3333 0.6667 0.7500
```

The 10 most intense peaks (15° ≤ 2θ ≤ 90°), by intensity:
- (2 0 1), d = 3.931 Å, I = 100
- (2 2 2), d = 2.188 Å, I = 27
- (0 0 2), d = 4.104 Å, I = 25
- (2 0 3), d = 2.335 Å, I = 25
- (2 0 0), d = 4.479 Å, I = 23
- (2 2 0), d = 2.586 Å, I = 22
- (4 0 1), d = 2.160 Å, I = 19
- (2 0 2), d = 3.026 Å, I = 17
- (4 2 1), d = 1.658 Å, I = 17
- (4 2 3), d = 1.440 Å, I = 10


Starting from a cell relaxed with PBE, the XRD peak list of Lu4NiB13 was simulated for Cu Kα (λ = 1.5418 Å).
Kinematic intensities with the Lorentz-polarization factor, no thermal factor.

Crystal structure
```
data_Lu4NiB13
_chemical_formula_sum 'Lu8 Ni2 B26'
_cell_length_a 7.2200
_cell_length_b 7.2200
_cell_length_c 6.7541
_cell_angle_alpha 90.00
_cell_angle_beta 90.00
_cell_angle_gamma 90.00
_symmetry_space_group_name_H-M 'P 4/m n c'
_symmetry_Int_Tables_number 128
_symmetry_space_group_name_Hall '-P 4 2n'
loop_
_atom_site_label
_atom_site_type_symbol
_atom_site_fract_x
_atom_site_fract_y
_atom_site_fract_z
Lu1 Lu 0.1799 0.3151 0.0000
Ni1 Ni 0.0000 0.0000 0.5000
B1 B 0.0000 0.0000 0.0000
B2 B 0.0396 0.8285 0.2434
B3 B 0.0908 0.5908 0.2500
```

The 10 most intense peaks (15° ≤ 2θ ≤ 90°), by intensity:
- (2 1 2), d = 2.334 Å, I = 100
- (2 1 0), d = 3.229 Å, I = 99
- (0 0 2), d = 3.377 Å, I = 59
- (2 0 0), d = 3.610 Å, I = 40
- (4 1 2), d = 1.555 Å, I = 40
- (2 0 2), d = 2.466 Å, I = 39
- (4 1 0), d = 1.751 Å, I = 38
- (3 1 2), d = 1.891 Å, I = 28
- (4 1 4), d = 1.215 Å, I = 23
- (2 1 4), d = 1.496 Å, I = 21


Starting from a cell relaxed with PBE, the XRD peak list of CaHN was simulated for Cu Kα (λ = 1.5418 Å).
Kinematic intensities with the Lorentz-polarization factor, no thermal factor.

Crystal structure
```
data_CaHN
_chemical_formula_sum 'Ca2 H2 N2'
_cell_length_a 3.5451
_cell_length_b 3.5451
_cell_length_c 5.6977
_cell_angle_alpha 90.00
_cell_angle_beta 90.00
_cell_angle_gamma 90.00
_symmetry_space_group_name_H-M 'I 4 m m'
_symmetry_Int_Tables_number 107
_symmetry_space_group_name_Hall 'I 4 -2'
loop_
_atom_site_label
_atom_site_type_symbol
_atom_site_fract_x
_atom_site_fract_y
_atom_site_fract_z
Ca1 Ca 0.0000 0.0000 0.0000
H1 H 0.0000 0.0000 0.4147
N1 N 0.0000 0.0000 0.5966
```

The 10 most intense peaks (15° ≤ 2θ ≤ 90°), by intensity:
- (1 1 0), d = 2.507 Å, I = 100
- (1 0 1), d = 3.010 Å, I = 95
- (1 1 2), d = 1.882 Å, I = 56
- (0 0 2), d = 2.849 Å, I = 54
- (1 0 3), d = 1.674 Å, I = 34
- (2 0 0), d = 1.773 Å, I = 30
- (2 1 1), d = 1.527 Å, I = 25
- (2 0 2), d = 1.505 Å, I = 24
- (2 1 3), d = 1.217 Å, I = 21
- (3 1 0), d = 1.121 Å, I = 11